Diffraction record for Cs3Pr3ZrSe8. The powder diffractogram is simulated, not measured: it uses the PBE geometry in Alexandria and Cu Kα, 1.54184 Å.
Peak positions follow from Bragg's law for the DFT cell and can differ from measured ones.

Largest 6 diffraction maxima, sorted by position, 15° ≤ 2θ ≤ 90°:
d (Å)	two_theta	I_rel
3.219	27.71	100
2.614	34.31	11
2.432	36.96	33
2.147	42.10	40
1.786	51.14	17
1.373	68.32	14

Cell and atoms:
```
Cs3Pr3ZrSe8
1.0
4.294 2.479 8.576
-4.294 2.479 8.576
0.000 -4.958 8.576
Cs Pr Zr Se
3 3 1 8
Direct
0.000 0.500 0.500
0.500 0.000 0.500
0.500 0.500 0.000
0.000 0.000 0.500
0.000 0.500 0.000
0.500 0.000 0.000
0.500 0.500 0.500
0.231 0.231 0.231
0.252 0.714 0.714
0.286 0.286 0.748
0.286 0.748 0.286
0.714 0.252 0.714
0.714 0.714 0.252
0.748 0.286 0.286
0.769 0.769 0.769
```